# 1
For Mg3CuIr, a crystal structure in Alexandria, relaxed with GGA-PBE gives the theoretical X-ray diffraction stick pattern in this record (Cu Kα (weighted mean of Kα1 and Kα2)).
No peak broadening, texture or thermal motion is included.

Cell and atoms:
Unit cell a=4.510 b=4.517 c=8.479 alpha=105.37 beta=90.00 gamma=90.02
Space group P-1 (No. 2)
Asymmetric unit:
Mg1 0.250 0.065 0.128 (multiplicity 2)
Mg2 0.250 0.249 0.498 (multiplicity 2)
Mg3 0.250 0.430 0.863 (multiplicity 2)
Cu1 0.249 0.662 0.322 (multiplicity 2)
Ir1 0.250 0.846 0.693 (multiplicity 2)

Peak list (12 most intense, 15° ≤ 2θ ≤ 90°, in order of rising 2θ)
- 2θ 20.40, I = 13
- 2θ 21.74, I = 30
- 2θ 22.51, I = 26
- 2θ 25.61, I = 18
- 2θ 28.49, I = 63
- 2θ 39.45, I = 100
- 2θ 39.95, I = 52
- 2θ 45.93, I = 17
- 2θ 48.28, I = 12
- 2θ 57.78, I = 17
- 2θ 72.18, I = 16
- 2θ 72.26, I = 16


# 2
For Cu2IrN, a crystal structure in Alexandria, relaxed with GGA-PBE gives the theoretical X-ray diffraction stick pattern in this record (Cu Kα (weighted mean of Kα1 and Kα2)).
No peak broadening, texture or thermal motion is included.

Cell and atoms:
Unit cell a=7.239 b=7.239 c=3.858 alpha=90.00 beta=90.00 gamma=90.00
Space group I-42d (No. 122)
Asymmetric unit:
Cu1 0.151 0.250 0.125 (multiplicity 8)
Ir1 0.000 0.000 0.500 (multiplicity 4)
N1 0.000 0.000 0.000 (multiplicity 4)

Peak list (12 most intense, 15° ≤ 2θ ≤ 90°, in order of rising 2θ)
- 2θ 24.60, I = 26
- 2θ 26.18, I = 25
- 2θ 35.06, I = 53
- 2θ 36.23, I = 100
- 2θ 44.28, I = 33
- 2θ 50.43, I = 14
- 2θ 50.57, I = 33
- 2θ 51.30, I = 9
- 2θ 56.89, I = 23
- 2θ 63.02, I = 26
- 2θ 69.33, I = 22
- 2θ 84.80, I = 11


# 3
For Na2Cu2IrSe4, a crystal structure in Alexandria, relaxed with GGA-PBE gives the theoretical X-ray diffraction stick pattern in this record (Cu Kα (weighted mean of Kα1 and Kα2)).
No peak broadening, texture or thermal motion is included.

Cell and atoms:
Unit cell a=14.820 b=3.896 c=7.094 alpha=90.00 beta=115.43 gamma=90.00
Space group C2/m (No. 12)
Asymmetric unit:
Na1 0.135 0.000 0.055 (multiplicity 4)
Cu1 0.195 0.500 0.486 (multiplicity 4)
Ir1 0.000 0.000 0.500 (multiplicity 2)
Se1 0.012 0.500 0.276 (multiplicity 4)
Se2 0.189 0.000 0.690 (multiplicity 4)

Peak list (12 most intense, 15° ≤ 2θ ≤ 90°, in order of rising 2θ)
- 2θ 26.10, I = 40
- 2θ 26.64, I = 31
- 2θ 29.69, I = 23
- 2θ 34.61, I = 53
- 2θ 35.17, I = 100
- 2θ 37.13, I = 23
- 2θ 40.44, I = 26
- 2θ 44.89, I = 33
- 2θ 46.62, I = 30
- 2θ 47.57, I = 37
- 2θ 49.65, I = 41
- 2θ 60.39, I = 21


# 4
For NaVCuIr2, a crystal structure in Alexandria, relaxed with GGA-PBE gives the theoretical X-ray diffraction stick pattern in this record (Cu Kα (weighted mean of Kα1 and Kα2)).
No peak broadening, texture or thermal motion is included.

Cell and atoms:
Unit cell a=4.496 b=4.496 c=4.971 alpha=90.00 beta=90.00 gamma=90.00
Space group P4/mmm (No. 123)
Asymmetric unit:
Na1 0.000 0.000 0.000 (multiplicity 1)
V1 0.000 0.000 0.500 (multiplicity 1)
Cu1 0.500 0.500 0.000 (multiplicity 1)
Ir1 0.000 0.500 0.500 (multiplicity 2)

Peak list (12 most intense, 15° ≤ 2θ ≤ 90°, in order of rising 2θ)
- 2θ 17.84, I = 73
- 2θ 28.07, I = 24
- 2θ 33.46, I = 100
- 2θ 36.14, I = 31
- 2θ 40.11, I = 47
- 2θ 44.22, I = 29
- 2θ 46.37, I = 13
- 2θ 55.08, I = 37
- 2θ 58.03, I = 16
- 2θ 63.29, I = 16
- 2θ 68.67, I = 25
- 2θ 70.30, I = 17


# 5
For Nb2CuIr, a crystal structure in Alexandria, relaxed with GGA-PBE gives the theoretical X-ray diffraction stick pattern in this record (Cu Kα (weighted mean of Kα1 and Kα2)).
No peak broadening, texture or thermal motion is included.

Cell and atoms:
Unit cell a=3.969 b=3.969 c=3.981 alpha=90.00 beta=90.00 gamma=90.00
Space group P4/mmm (No. 123)
Asymmetric unit:
Nb1 0.000 0.500 0.000 (multiplicity 2)
Cu1 0.000 0.000 0.500 (multiplicity 1)
Ir1 0.500 0.500 0.500 (multiplicity 1)

Peak list (12 most intense, 15° ≤ 2θ ≤ 90°, in order of rising 2θ)
- 2θ 22.39, I = 17
- 2θ 31.85, I = 14
- 2θ 39.28, I = 100
- 2θ 45.58, I = 16
- 2θ 45.72, I = 32
- 2θ 51.48, I = 5
- 2θ 56.78, I = 6
- 2θ 66.54, I = 21
- 2θ 66.66, I = 10
- 2θ 79.98, I = 12
- 2θ 80.20, I = 24
- 2θ 84.48, I = 11


# 6
For NbZnCuIr, a crystal structure in Alexandria, relaxed with GGA-PBE gives the theoretical X-ray diffraction stick pattern in this record (Cu Kα (weighted mean of Kα1 and Kα2)).
No peak broadening, texture or thermal motion is included.

Cell and atoms:
Unit cell a=4.033 b=4.033 c=7.269 alpha=90.00 beta=90.00 gamma=90.00
Space group I-4m2 (No. 119)
Asymmetric unit:
Nb1 0.000 0.000 0.000 (multiplicity 2)
Zn1 0.000 0.000 0.500 (multiplicity 2)
Cu1 0.000 0.500 0.750 (multiplicity 2)
Ir1 0.000 0.500 0.250 (multiplicity 2)

Peak list (12 most intense, 15° ≤ 2θ ≤ 90°, in order of rising 2θ)
- 2θ 25.25, I = 27
- 2θ 40.19, I = 100
- 2θ 43.58, I = 7
- 2θ 44.95, I = 36
- 2θ 50.20, I = 13
- 2θ 52.26, I = 8
- 2θ 64.40, I = 5
- 2θ 65.46, I = 11
- 2θ 69.65, I = 19
- 2θ 79.68, I = 26
- 2θ 86.82, I = 11
- 2θ 87.48, I = 10